[1]
Diffraction record for Cd2AgAu3. The X-ray powder pattern is simulated, not measured: it uses a crystal structure in Alexandria, relaxed with PBE and CuKα.

Structural model:
```
data_Cd2AgAu3
_chemical_formula_sum 'Cd2 Ag1 Au3'
_space_group_name_H-M_alt 'P 1 2/m 1'
_space_group_IT_number 10
_cell_length_a 4.7990
_cell_length_b 3.3128
_cell_length_c 7.3540
_cell_angle_alpha 90.00
_cell_angle_beta 102.91
_cell_angle_gamma 90.00
loop_
_space_group_symop_operation_xyz
'x,y,z'
'-x,-y,-z'
'-x,y,-z'
'x,-y,z'
loop_
_atom_site_label
_atom_site_type_symbol
_atom_site_fract_x
_atom_site_fract_y
_atom_site_fract_z
_atom_site_occupancy
Cd1 Cd 0.2280 0.0000 0.3324 1
Ag1 Ag 0.5000 0.0000 0.0000 1
Au1 Au 0.0000 0.5000 0.0000 1
Au2 Au 0.2688 0.5000 0.6713 1
```

Largest 10 diffraction maxima, in order of falling intensity, 10 to 80 degrees two-theta:
2θ/deg  I (rel.)
37.02  1000
37.67  850
39.06  832
69.00  285
66.17  207
70.25  188
55.47  170
51.18  145
64.71  122
41.10  119

=====

[2]
Diffraction record for LaPmH6Rh2. The X-ray powder pattern is simulated, not measured: it uses a crystal structure in Alexandria, relaxed with PBE and CuKα.

Structural model:
```
data_LaPmH6Rh2
_chemical_formula_sum 'La4 Pm4 H24 Rh8'
_space_group_name_H-M_alt 'C 1 2/c 1'
_space_group_IT_number 15
_cell_length_a 7.7882
_cell_length_b 9.5730
_cell_length_c 6.6135
_cell_angle_alpha 90.00
_cell_angle_beta 110.70
_cell_angle_gamma 90.00
loop_
_space_group_symop_operation_xyz
'x,y,z'
'-x,-y,-z'
'-x,y,-z+1/2'
'x,-y,z+1/2'
'x+1/2,y+1/2,z'
'-x+1/2,-y+1/2,-z'
'-x+1/2,y+1/2,-z+1/2'
'x+1/2,-y+1/2,z+1/2'
loop_
_atom_site_label
_atom_site_type_symbol
_atom_site_fract_x
_atom_site_fract_y
_atom_site_fract_z
_atom_site_occupancy
La1 La 0.0000 0.1502 0.2500 1
Pm1 Pm 0.0000 0.4045 0.7500 1
H1 H 0.0734 0.3825 0.1230 1
H2 H 0.1762 0.2496 0.6137 1
H3 H 0.1886 0.0245 0.0209 1
Rh1 Rh 0.1931 0.1294 0.8133 1
```

Largest 10 diffraction maxima, in order of falling intensity, 10 to 80 degrees two-theta:
2θ/deg  I (rel.)
30.14  1000
37.80  907
28.86  792
30.59  433
37.58  387
48.06  368
39.32  343
31.96  256
57.72  246
62.15  199